Entry 1:
Structure and theoretical powder diffractogram of NaHfIn (DFT lattice parameters and positions (GGA-PBE); a wavelength of 1.5418 Å).

Structure:
Cell: 4.980 8.557 6.722 Å, 90.00 90.00 90.00°
Fractional positions:
Na  0.000  0.167  0.000
Na  0.000  0.833  0.000
Na  0.500  0.333  0.000
Na  0.500  0.667  0.000
Hf  0.000  0.171  0.500
Hf  0.000  0.829  0.500
Hf  0.500  0.329  0.500
Hf  0.500  0.671  0.500
In  0.000  0.500  0.281
In  0.000  0.500  0.719
In  0.500  0.000  0.281
In  0.500  0.000  0.719

Largest 10 diffraction maxima, low angle first, 2θ = 15–90°:
- 2θ = 33.9°, I 100
- 2θ = 36.1°, I 33
- 2θ = 36.3°, I 64
- 2θ = 38.6°, I 16
- 2θ = 38.8°, I 32
- 2θ = 45.7°, I 20
- 2θ = 50.3°, I 23
- 2θ = 63.8°, I 12
- 2θ = 65.0°, I 11
- 2θ = 67.4°, I 16


Entry 2:
Structure and theoretical powder diffractogram of Hf5Nb2In4 (DFT lattice parameters and positions (GGA-PBE); a wavelength of 1.5418 Å).

Structure:
Cell: 11.242 11.242 11.242 Å, 163.92 139.58 43.77°
Fractional positions:
Hf  0.000  0.000  0.000
Hf  0.060  0.366  0.694
Hf  0.328  0.634  0.694
Hf  0.672  0.366  0.306
Hf  0.940  0.634  0.306
Nb  0.397  0.897  0.500
Nb  0.603  0.103  0.500
In  0.263  0.763  0.500
In  0.318  0.500  0.818
In  0.682  0.500  0.182
In  0.737  0.237  0.500

Largest 10 diffraction maxima, low angle first, 2θ = 15–90°:
- 2θ = 28.7°, I 38
- 2θ = 31.9°, I 27
- 2θ = 34.4°, I 42
- 2θ = 35.3°, I 18
- 2θ = 37.0°, I 100
- 2θ = 40.4°, I 18
- 2θ = 41.0°, I 19
- 2θ = 41.8°, I 23
- 2θ = 48.8°, I 18
- 2θ = 69.9°, I 26


Entry 3:
Structure and theoretical powder diffractogram of Hf4NbIn (DFT lattice parameters and positions (GGA-PBE); a wavelength of 1.5418 Å).

Structure:
Cell: 3.021 5.172 8.552 Å, 90.00 90.00 90.00°
Fractional positions:
Hf  0.000  0.000  0.181
Hf  0.000  0.000  0.819
Hf  0.500  0.500  0.306
Hf  0.500  0.500  0.694
Nb  0.000  0.500  0.000
In  0.500  0.000  0.500

Largest 10 diffraction maxima, low angle first, 2θ = 15–90°:
- 2θ = 20.8°, I 21
- 2θ = 31.4°, I 45
- 2θ = 34.4°, I 37
- 2θ = 34.7°, I 63
- 2θ = 36.0°, I 100
- 2θ = 40.5°, I 98
- 2θ = 47.5°, I 29
- 2θ = 66.1°, I 23
- 2θ = 73.2°, I 32
- 2θ = 73.4°, I 25


Entry 4:
Structure and theoretical powder diffractogram of Hf6InO (DFT lattice parameters and positions (GGA-PBE); a wavelength of 1.5418 Å).

Structure:
Cell: 5.512 5.512 5.512 Å, 100.42 100.42 100.42°
Fractional positions:
Hf  0.084  0.773  0.651
Hf  0.227  0.349  0.916
Hf  0.349  0.916  0.227
Hf  0.651  0.084  0.773
Hf  0.773  0.651  0.084
Hf  0.916  0.227  0.349
In  0.500  0.500  0.500
O  0.000  0.000  0.000

Largest 10 diffraction maxima, low angle first, 2θ = 15–90°:
- 2θ = 34.4°, I 100
- 2θ = 35.3°, I 32
- 2θ = 40.2°, I 69
- 2θ = 57.6°, I 24
- 2θ = 58.8°, I 23
- 2θ = 68.8°, I 12
- 2θ = 69.4°, I 26
- 2θ = 70.4°, I 13
- 2θ = 72.5°, I 11
- 2θ = 86.9°, I 7


Entry 5:
Structure and theoretical powder diffractogram of HfTaInO6 (DFT lattice parameters and positions (GGA-PBE); a wavelength of 1.5418 Å).

Structure:
Cell: 5.347 5.347 9.234 Å, 90.00 90.00 120.00°
Fractional positions:
Hf  0.333  0.667  0.250
Hf  0.667  0.333  0.750
Ta  0.333  0.667  0.750
Ta  0.667  0.333  0.250
In  0.000  0.000  0.000
In  0.000  0.000  0.500
O  0.012  0.355  0.634
O  0.012  0.657  0.866
O  0.343  0.355  0.866
O  0.343  0.988  0.634
O  0.355  0.012  0.134
O  0.355  0.343  0.366
O  0.645  0.657  0.634
O  0.645  0.988  0.866
O  0.657  0.012  0.366
O  0.657  0.645  0.134
O  0.988  0.343  0.134
O  0.988  0.645  0.366

Largest 10 diffraction maxima, low angle first, 2θ = 15–90°:
- 2θ = 19.2°, I 33
- 2θ = 27.3°, I 100
- 2θ = 33.5°, I 60
- 2θ = 38.9°, I 28
- 2θ = 43.7°, I 29
- 2θ = 52.4°, I 51
- 2θ = 56.2°, I 27
- 2θ = 59.9°, I 19
- 2θ = 73.8°, I 16
- 2θ = 83.6°, I 13


Entry 6:
Structure and theoretical powder diffractogram of Hf6In2P (DFT lattice parameters and positions (GGA-PBE); a wavelength of 1.5418 Å).

Structure:
Cell: 5.836 7.149 10.984 Å, 90.00 121.51 90.00°
Fractional positions:
Hf  0.108  0.024  0.236
Hf  0.108  0.476  0.736
Hf  0.167  0.705  0.034
Hf  0.167  0.795  0.534
Hf  0.387  0.167  0.034
Hf  0.387  0.333  0.534
Hf  0.613  0.667  0.466
Hf  0.613  0.833  0.966
Hf  0.833  0.205  0.466
Hf  0.833  0.295  0.966
Hf  0.892  0.524  0.264
Hf  0.892  0.976  0.764
In  0.346  0.107  0.742
In  0.346  0.393  0.242
In  0.654  0.607  0.758
In  0.654  0.893  0.258
P  0.500  0.000  0.500
P  0.500  0.500  0.000

Largest 10 diffraction maxima, low angle first, 2θ = 15–90°:
- 2θ = 31.5°, I 100
- 2θ = 33.2°, I 41
- 2θ = 34.5°, I 33
- 2θ = 34.6°, I 54
- 2θ = 35.0°, I 52
- 2θ = 35.2°, I 41
- 2θ = 38.3°, I 61
- 2θ = 38.5°, I 52
- 2θ = 38.6°, I 39
- 2θ = 40.9°, I 45


Entry 7:
Structure and theoretical powder diffractogram of Hf4InP (DFT lattice parameters and positions (GGA-PBE); a wavelength of 1.5418 Å).

Structure:
Cell: 7.755 7.755 5.825 Å, 101.25 101.25 124.27°
Fractional positions:
Hf  0.123  0.699  0.944
Hf  0.183  0.324  0.700
Hf  0.301  0.877  0.556
Hf  0.324  0.183  0.200
Hf  0.676  0.817  0.800
Hf  0.699  0.123  0.444
Hf  0.817  0.676  0.300
Hf  0.877  0.301  0.056
In  0.393  0.607  0.250
In  0.607  0.393  0.750
P  0.058  0.942  0.750
P  0.942  0.058  0.250

Largest 10 diffraction maxima, low angle first, 2θ = 15–90°:
- 2θ = 28.4°, I 36
- 2θ = 30.1°, I 38
- 2θ = 31.1°, I 43
- 2θ = 31.4°, I 40
- 2θ = 32.3°, I 49
- 2θ = 35.5°, I 39
- 2θ = 36.4°, I 53
- 2θ = 36.5°, I 100
- 2θ = 37.8°, I 44
- 2θ = 40.0°, I 57


Entry 8:
Structure and theoretical powder diffractogram of Hf5Pa2In (DFT lattice parameters and positions (GGA-PBE); a wavelength of 1.5418 Å).

Structure:
Cell: 4.372 4.372 19.132 Å, 90.00 90.00 90.00°
Fractional positions:
Hf  0.000  0.000  0.000
Hf  0.000  0.500  0.120
Hf  0.000  0.500  0.380
Hf  0.000  0.500  0.620
Hf  0.000  0.500  0.880
Hf  0.500  0.000  0.120
Hf  0.500  0.000  0.380
Hf  0.500  0.000  0.620
Hf  0.500  0.000  0.880
Hf  0.500  0.500  0.500
Pa  0.000  0.000  0.249
Pa  0.000  0.000  0.751
Pa  0.500  0.500  0.251
Pa  0.500  0.500  0.749
In  0.000  0.000  0.500
In  0.500  0.500  0.000

Largest 10 diffraction maxima, low angle first, 2θ = 15–90°:
- 2θ = 30.4°, I 3
- 2θ = 34.5°, I 100
- 2θ = 37.6°, I 19
- 2θ = 41.3°, I 31
- 2θ = 57.1°, I 24
- 2θ = 59.8°, I 11
- 2θ = 65.9°, I 15
- 2θ = 71.0°, I 25
- 2θ = 72.9°, I 11
- 2θ = 89.7°, I 4


Entry 9:
Structure and theoretical powder diffractogram of Hf12InPb3 (DFT lattice parameters and positions (GGA-PBE); a wavelength of 1.5418 Å).

Structure:
Cell: 5.623 5.624 11.265 Å, 90.00 90.00 90.00°
Fractional positions:
Hf  0.000  0.000  0.123
Hf  0.000  0.000  0.374
Hf  0.000  0.000  0.626
Hf  0.000  0.000  0.877
Hf  0.249  0.500  0.500
Hf  0.252  0.500  0.000
Hf  0.500  0.249  0.248
Hf  0.500  0.249  0.752
Hf  0.500  0.751  0.248
Hf  0.500  0.751  0.752
Hf  0.748  0.500  0.000
Hf  0.751  0.500  0.500
In  0.500  0.000  0.000
Pb  0.000  0.500  0.251
Pb  0.000  0.500  0.749
Pb  0.500  0.000  0.500

Largest 10 diffraction maxima, low angle first, 2θ = 15–90°:
- 2θ = 31.8°, I 35
- 2θ = 35.7°, I 100
- 2θ = 39.2°, I 80
- 2θ = 56.7°, I 8
- 2θ = 59.2°, I 23
- 2θ = 61.7°, I 43
- 2θ = 66.5°, I 11
- 2θ = 75.6°, I 8
- 2θ = 77.8°, I 14
- 2θ = 80.0°, I 10


Entry 10:
Structure and theoretical powder diffractogram of HfInPb2 (DFT lattice parameters and positions (GGA-PBE); a wavelength of 1.5418 Å).

Structure:
Cell: 8.501 8.501 6.245 Å, 90.00 90.00 90.00°
Fractional positions:
Hf  0.000  0.000  0.000
Hf  0.000  0.500  0.250
Hf  0.500  0.000  0.750
Hf  0.500  0.500  0.500
In  0.000  0.000  0.500
In  0.000  0.500  0.750
In  0.500  0.000  0.250
In  0.500  0.500  0.000
Pb  0.232  0.250  0.125
Pb  0.250  0.732  0.375
Pb  0.250  0.768  0.875
Pb  0.268  0.250  0.625
Pb  0.732  0.750  0.625
Pb  0.750  0.232  0.875
Pb  0.750  0.268  0.375
Pb  0.768  0.750  0.125

Largest 10 diffraction maxima, low angle first, 2θ = 15–90°:
- 2θ = 29.7°, I 100
- 2θ = 32.3°, I 85
- 2θ = 42.5°, I 37
- 2θ = 44.5°, I 69
- 2θ = 54.4°, I 18
- 2θ = 63.2°, I 23
- 2θ = 63.5°, I 25
- 2θ = 70.0°, I 16
- 2θ = 71.4°, I 16
- 2θ = 79.4°, I 24


Entry 11:
Structure and theoretical powder diffractogram of Hf5In2Pb (DFT lattice parameters and positions (GGA-PBE); a wavelength of 1.5418 Å).

Structure:
Cell: 8.264 8.264 8.264 Å, 125.56 125.56 80.62°
Fractional positions:
Hf  0.000  0.000  0.000
Hf  0.008  0.508  0.197
Hf  0.189  0.992  0.500
Hf  0.311  0.811  0.803
Hf  0.492  0.689  0.500
Hf  0.500  0.500  0.000
Hf  0.508  0.311  0.500
Hf  0.689  0.189  0.197
Hf  0.811  0.008  0.500
Hf  0.992  0.492  0.803
In  0.144  0.356  0.500
In  0.356  0.856  0.212
In  0.644  0.144  0.788
In  0.856  0.644  0.500
Pb  0.250  0.250  0.000
Pb  0.750  0.750  0.000

Largest 10 diffraction maxima, low angle first, 2θ = 15–90°:
- 2θ = 33.0°, I 21
- 2θ = 33.5°, I 11
- 2θ = 34.0°, I 100
- 2θ = 37.1°, I 17
- 2θ = 37.6°, I 61
- 2θ = 43.1°, I 10
- 2θ = 54.3°, I 10
- 2θ = 69.1°, I 11
- 2θ = 70.8°, I 18
- 2θ = 73.2°, I 10


Entry 12:
Structure and theoretical powder diffractogram of Hf6InPd (DFT lattice parameters and positions (GGA-PBE); a wavelength of 1.5418 Å).

Structure:
Cell: 5.509 5.509 5.509 Å, 90.00 90.00 90.00°
Fractional positions:
Hf  0.000  0.254  0.500
Hf  0.000  0.746  0.500
Hf  0.254  0.500  0.000
Hf  0.500  0.000  0.254
Hf  0.500  0.000  0.746
Hf  0.746  0.500  0.000
In  0.000  0.000  0.000
Pd  0.500  0.500  0.500

Largest 10 diffraction maxima, low angle first, 2θ = 15–90°:
- 2θ = 32.5°, I 23
- 2θ = 36.5°, I 100
- 2θ = 40.1°, I 52
- 2θ = 58.0°, I 12
- 2θ = 60.6°, I 23
- 2θ = 63.1°, I 27
- 2θ = 68.1°, I 13
- 2θ = 77.5°, I 7
- 2θ = 79.8°, I 21
- 2θ = 82.0°, I 6


Entry 13:
Structure and theoretical powder diffractogram of HfIn6Pd12 (DFT lattice parameters and positions (GGA-PBE); a wavelength of 1.5418 Å).

Structure:
Cell: 7.463 7.463 7.463 Å, 106.58 106.58 106.58°
Fractional positions:
Hf  0.000  0.000  0.000
In  0.092  0.481  0.212
In  0.212  0.092  0.481
In  0.481  0.212  0.092
In  0.519  0.788  0.908
In  0.788  0.908  0.519
In  0.908  0.519  0.788
Pd  0.136  0.268  0.850
Pd  0.150  0.864  0.732
Pd  0.181  0.478  0.595
Pd  0.268  0.850  0.136
Pd  0.405  0.819  0.522
Pd  0.478  0.595  0.181
Pd  0.522  0.405  0.819
Pd  0.595  0.181  0.478
Pd  0.732  0.150  0.864
Pd  0.819  0.522  0.405
Pd  0.850  0.136  0.268
Pd  0.864  0.732  0.150

Largest 10 diffraction maxima, low angle first, 2θ = 15–90°:
- 2θ = 25.8°, I 10
- 2θ = 35.2°, I 38
- 2θ = 39.9°, I 100
- 2θ = 41.3°, I 46
- 2θ = 44.1°, I 34
- 2θ = 51.8°, I 12
- 2θ = 65.2°, I 19
- 2θ = 72.4°, I 17
- 2θ = 77.3°, I 14
- 2θ = 80.2°, I 18